Th4AgRh12: theoretical X-ray diffraction stick pattern (a wavelength of 1.5418 Å), based on DFT lattice parameters and positions (PBE).
Intensities are scaled so that the largest is 100.

Atomic structure:
Cell: 8.5247 8.5247 8.5247 Å, 90.00 90.00 90.00°
Space group Im-3m (No. 229)
Symmetry-distinct sites (fractional):
Th1 0.2500 0.2500 0.2500 [8 per cell]
Ag1 0.0000 0.0000 0.0000 [2 per cell]
Rh1 0.0000 0.0000 0.3053 [12 per cell]
Rh2 0.0000 0.2500 0.5000 [12 per cell]

Main lines, low angle first (5° ≤ 2θ ≤ 70°):
- hkl 2 0 0, 2θ 20.84, d 4.262, rel. 7
- hkl 2 2 0, 2θ 29.64, d 3.014, rel. 33
- hkl 2 2 2, 2θ 36.51, d 2.461, rel. 100
- hkl 3 2 1, 2θ 39.56, d 2.278, rel. 10
- hkl 4 0 0, 2θ 42.41, d 2.131, rel. 60
- hkl 3 3 0, 2θ 45.12, d 2.009, rel. 7
- hkl 4 2 0, 2θ 47.71, d 1.906, rel. 10
- hkl 3 3 2, 2θ 50.20, d 1.817, rel. 9
- hkl 4 2 2, 2θ 52.60, d 1.740, rel. 8
- hkl 4 4 0, 2θ 61.54, d 1.507, rel. 34
- hkl 4 4 2, 2θ 65.72, d 1.421, rel. 7
- hkl 6 2 0, 2θ 69.77, d 1.348, rel. 12